No. 1
Computed powder XRD pattern of KCuPO4 for λ = 1.5418 Å (Cu Kα), from a PBE-relaxed structure.

Structure:
Cell lengths 6.7998, 6.8422, 18.0687 Å; angles 90.00, 90.00, 90.00 degrees
Fractional coordinates of all 56 atoms:
K 0.0292 0.0118 0.1764
K 0.0292 0.4882 0.6764
K 0.4708 0.5118 0.1764
K 0.4708 0.9882 0.6764
K 0.5292 0.0118 0.3236
K 0.5292 0.4882 0.8236
K 0.9708 0.5118 0.3236
K 0.9708 0.9882 0.8236
Cu 0.2018 0.7248 0.5067
Cu 0.2018 0.7752 0.0067
Cu 0.2982 0.2248 0.5067
Cu 0.2982 0.2752 0.0067
Cu 0.7018 0.7248 0.9933
Cu 0.7018 0.7752 0.4933
Cu 0.7982 0.2248 0.9933
Cu 0.7982 0.2752 0.4933
P 0.0392 0.5193 0.8966
P 0.0392 0.9807 0.3966
P 0.4608 0.0193 0.8966
P 0.4608 0.4807 0.3966
P 0.5392 0.5193 0.6034
P 0.5392 0.9807 0.1034
P 0.9608 0.0193 0.6034
P 0.9608 0.4807 0.1034
O 0.0368 0.1945 0.5517
O 0.0368 0.3055 0.0517
O 0.0587 0.5889 0.8169
O 0.0587 0.9111 0.3169
O 0.1106 0.6524 0.0980
O 0.1106 0.8476 0.5980
O 0.2451 0.0327 0.4298
O 0.2451 0.4673 0.9298
O 0.2549 0.5327 0.4298
O 0.2549 0.9673 0.9298
O 0.3894 0.1524 0.0980
O 0.3894 0.3476 0.5980
O 0.4413 0.0889 0.8169
O 0.4413 0.4111 0.3169
O 0.4632 0.6945 0.5517
O 0.4632 0.8055 0.0517
O 0.5368 0.1945 0.9483
O 0.5368 0.3055 0.4483
O 0.5587 0.5889 0.6831
O 0.5587 0.9111 0.1831
O 0.6106 0.6524 0.4020
O 0.6106 0.8476 0.9020
O 0.7451 0.0327 0.0702
O 0.7451 0.4673 0.5702
O 0.7549 0.5327 0.0702
O 0.7549 0.9673 0.5702
O 0.8894 0.1524 0.4020
O 0.8894 0.3476 0.9020
O 0.9413 0.0889 0.6831
O 0.9413 0.4111 0.1831
O 0.9632 0.6945 0.9483
O 0.9632 0.8055 0.4483

Main lines, low angle first (2θ from 10° to 80°):
Position (°2θ)  d/Å  I/Imax
19.05  4.660  30
27.89  3.199  95
28.04  3.182  72
29.33  3.045  28
30.92  2.893  75
32.84  2.727  100
32.97  2.716  56
35.49  2.529  26
37.29  2.412  49
48.34  1.883  79

***

No. 2
Computed powder XRD pattern of KCu4P3O12 for λ = 1.5418 Å (Cu Kα), from a PBE-relaxed structure.

Structure:
Cell lengths 7.5335, 7.9245, 9.6117 Å; angles 108.13, 112.78, 92.33 degrees
Fractional coordinates of all 40 atoms:
K 0.1939 0.3642 0.1724
K 0.8061 0.6358 0.8276
Cu 0.1935 0.8821 0.2142
Cu 0.2354 0.6000 0.5997
Cu 0.2360 0.9682 0.5769
Cu 0.4766 0.7093 0.0461
Cu 0.5234 0.2907 0.9539
Cu 0.7640 0.0318 0.4231
Cu 0.7646 0.4000 0.4003
Cu 0.8065 0.1179 0.7858
P 0.1166 0.3525 0.7514
P 0.2014 0.9485 0.8859
P 0.4786 0.2486 0.5559
P 0.5214 0.7514 0.4441
P 0.7986 0.0515 0.1141
P 0.8834 0.6475 0.2486
O 0.0128 0.6516 0.1582
O 0.0150 0.0390 0.1564
O 0.0510 0.4832 0.6547
O 0.0951 0.1606 0.6345
O 0.2308 0.8516 0.7282
O 0.2495 0.8237 0.9895
O 0.3176 0.0755 0.4482
O 0.3342 0.4366 0.8771
O 0.3380 0.1337 0.9805
O 0.3667 0.7554 0.5171
O 0.3954 0.4203 0.5633
O 0.4171 0.7591 0.2703
O 0.5829 0.2409 0.7297
O 0.6046 0.5797 0.4367
O 0.6333 0.2446 0.4829
O 0.6620 0.8663 0.0195
O 0.6658 0.5634 0.1229
O 0.6824 0.9245 0.5518
O 0.7505 0.1763 0.0105
O 0.7692 0.1484 0.2718
O 0.9049 0.8394 0.3655
O 0.9490 0.5168 0.3453
O 0.9850 0.9610 0.8436
O 0.9872 0.3484 0.8418

Main lines, low angle first (2θ from 10° to 80°):
Position (°2θ)  d/Å  I/Imax
12.89  6.868  31
19.24  4.614  19
26.11  3.413  24
29.34  3.044  42
29.53  3.025  100
31.22  2.865  19
31.74  2.819  60
32.25  2.776  40
34.69  2.586  18
39.27  2.294  19

***

No. 3
Computed powder XRD pattern of K2CuP2O7 for λ = 1.5418 Å (Cu Kα), from a PBE-relaxed structure.

Structure:
Cell lengths 14.6515, 5.3093, 9.8198 Å; angles 90.00, 90.00, 90.00 degrees
Fractional coordinates of all 48 atoms:
K 0.0894 0.2500 0.1282
K 0.1974 0.7500 0.3738
K 0.3026 0.2500 0.8738
K 0.4106 0.7500 0.6282
K 0.5894 0.2500 0.3718
K 0.6974 0.7500 0.1262
K 0.8026 0.2500 0.6262
K 0.9106 0.7500 0.8718
Cu 0.1688 0.7500 0.7471
Cu 0.3312 0.2500 0.2471
Cu 0.6688 0.7500 0.7529
Cu 0.8312 0.2500 0.2529
P 0.0546 0.2500 0.7727
P 0.1943 0.2500 0.5715
P 0.3057 0.7500 0.0715
P 0.4454 0.7500 0.2727
P 0.5546 0.2500 0.7273
P 0.6943 0.2500 0.9285
P 0.8057 0.7500 0.4285
P 0.9454 0.7500 0.2273
O 0.0482 0.7500 0.2250
O 0.0859 0.2500 0.6120
O 0.0968 0.0115 0.8394
O 0.0968 0.4885 0.8394
O 0.1986 0.2500 0.4176
O 0.2350 0.0081 0.6364
O 0.2350 0.4919 0.6364
O 0.2650 0.5081 0.1364
O 0.2650 0.9919 0.1364
O 0.3014 0.7500 0.9176
O 0.4032 0.5115 0.3394
O 0.4032 0.9885 0.3394
O 0.4141 0.7500 0.1120
O 0.4518 0.2500 0.7250
O 0.5482 0.7500 0.2750
O 0.5859 0.2500 0.8880
O 0.5968 0.0115 0.6606
O 0.5968 0.4885 0.6606
O 0.6986 0.2500 0.0824
O 0.7350 0.0081 0.8636
O 0.7350 0.4919 0.8636
O 0.7650 0.5081 0.3636
O 0.7650 0.9919 0.3636
O 0.8014 0.7500 0.5824
O 0.9032 0.5115 0.1606
O 0.9032 0.9885 0.1606
O 0.9141 0.7500 0.3880
O 0.9518 0.2500 0.7750

Main lines, low angle first (2θ from 10° to 80°):
Position (°2θ)  d/Å  I/Imax
12.08  7.326  67
15.09  5.872  100
18.07  4.910  76
20.31  4.373  45
27.58  3.234  42
29.63  3.015  51
33.76  2.655  51
34.44  2.604  58
34.92  2.569  51
42.93  2.107  42

***

No. 4
Computed powder XRD pattern of KCuPO4 for λ = 1.5418 Å (Cu Kα), from a PBE-relaxed structure.

Structure:
Cell lengths 5.0852, 9.6938, 8.2347 Å; angles 90.00, 93.25, 90.00 degrees
Fractional coordinates of all 28 atoms:
K 0.2004 0.0000 0.2778
K 0.2275 0.8428 0.7586
K 0.7725 0.3428 0.2414
K 0.7996 0.5000 0.7222
Cu 0.2318 0.2026 0.9258
Cu 0.3610 0.6077 0.4054
Cu 0.6390 0.1077 0.5946
Cu 0.7682 0.7026 0.0742
P 0.2593 0.5209 0.0401
P 0.2688 0.3025 0.5705
P 0.7312 0.8025 0.4295
P 0.7407 0.0209 0.9599
O 0.0230 0.7663 0.4365
O 0.1004 0.6472 0.9717
O 0.1452 0.3934 0.9487
O 0.2222 0.4975 0.2247
O 0.3121 0.4602 0.5727
O 0.4229 0.2263 0.4376
O 0.4247 0.2355 0.7284
O 0.4413 0.0387 0.9896
O 0.5587 0.5387 0.0104
O 0.5753 0.7355 0.2716
O 0.5771 0.7263 0.5624
O 0.6879 0.9602 0.4273
O 0.7778 0.9975 0.7753
O 0.8548 0.8934 0.0513
O 0.8996 0.1472 0.0283
O 0.9770 0.2663 0.5635

Main lines, low angle first (2θ from 10° to 80°):
Position (°2θ)  d/Å  I/Imax
14.13  6.270  84
23.01  3.865  52
27.26  3.271  100
28.06  3.180  81
28.68  3.113  66
30.18  2.961  64
32.88  2.724  74
34.00  2.637  76
34.29  2.615  61
35.35  2.539  54

***

No. 5
Computed powder XRD pattern of K2CuP2O7 for λ = 1.5418 Å (Cu Kα), from a PBE-relaxed structure.

Structure:
Cell lengths 8.1702, 8.1702, 5.5509 Å; angles 90.00, 90.00, 90.00 degrees
Fractional coordinates of all 24 atoms:
K 0.1659 0.3341 0.0085
K 0.3341 0.8341 0.9915
K 0.6659 0.1659 0.9915
K 0.8341 0.6659 0.0085
Cu 0.0000 0.0000 0.5000
Cu 0.5000 0.5000 0.5000
P 0.1337 0.6337 0.5212
P 0.3663 0.1337 0.4788
P 0.6337 0.8663 0.4788
P 0.8663 0.3663 0.5212
O 0.0000 0.5000 0.6243
O 0.0778 0.7947 0.6428
O 0.1350 0.6350 0.2498
O 0.2053 0.0778 0.3572
O 0.2947 0.5778 0.6428
O 0.3650 0.1350 0.7502
O 0.4222 0.2947 0.3572
O 0.5000 0.0000 0.3757
O 0.5778 0.7053 0.3572
O 0.6350 0.8650 0.7502
O 0.7053 0.4222 0.6428
O 0.7947 0.9222 0.3572
O 0.8650 0.3650 0.2498
O 0.9222 0.2053 0.6428

Main lines, low angle first (2θ from 10° to 80°):
Position (°2θ)  d/Å  I/Imax
15.97  5.551  45
22.21  4.003  26
27.10  3.290  51
29.26  3.052  100
32.25  2.775  17
34.72  2.584  34
48.12  1.891  28
49.92  1.827  13
60.10  1.539  10
78.19  1.223  16

***

No. 6
Computed powder XRD pattern of K2Zn2CuS2O2 for λ = 1.5418 Å (Cu Kα), from a PBE-relaxed structure.

Structure:
Cell lengths 11.4795, 11.4795, 11.4795 Å; angles 159.79, 159.79, 28.73 degrees
Fractional coordinates of all 9 atoms:
K 0.0757 0.0757 0.0000
K 0.9243 0.9243 0.0000
Zn 0.2500 0.7500 0.5000
Zn 0.7500 0.2500 0.5000
Cu 0.5000 0.5000 0.0000
S 0.3104 0.3104 0.0000
S 0.6896 0.6896 0.0000
O 0.0000 0.5000 0.5000
O 0.5000 0.0000 0.5000

Main lines, low angle first (2θ from 10° to 80°):
Position (°2θ)  d/Å  I/Imax
15.94  5.560  100
29.93  2.986  64
32.45  2.759  44
35.41  2.535  18
39.91  2.259  17
45.01  2.014  40
45.60  1.990  28
48.04  1.894  22
52.18  1.753  19
54.99  1.670  20